This entry pairs a crystal structure of K2HgPdF6 with its theoretical X-ray diffraction stick pattern. Radiation: Cu Kα, 1.54184 Å. Structure: DFT lattice parameters and positions (PBE).

Main lines, most intense first (2θ = 5–70°):
2θ 28.20, d = 3.164 Å, intensity 100, (2 2 0); 2θ 19.84, d = 4.475 Å, intensity 67, (2 0 0); 2θ 49.92, d = 1.827 Å, intensity 41, (4 2 2); 2θ 40.31, d = 2.237 Å, intensity 39, (4 0 0); 2θ 45.32, d = 2.001 Å, intensity 32, (4 2 0); 2θ 58.33, d = 1.582 Å, intensity 25, (4 4 0); 2θ 66.03, d = 1.415 Å, intensity 18, (6 2 0); 2θ 62.24, d = 1.492 Å, intensity 16, (6 0 0); 2θ 17.16, d = 5.167 Å, intensity 11, (1 1 1); 2θ 33.20, d = 2.698 Å, intensity 9, (3 1 1)

Crystal structure
Lattice parameters (Å, degrees): 8.9491 8.9491 8.9491 90.00 90.00 90.00
Space group Fm-3m (No. 225)
One atom of each set of equivalent atoms:
1 K 0.2500 0.2500 0.2500 x8
2 Hg 0.0000 0.0000 0.0000 x4
3 Pd 0.0000 0.0000 0.5000 x4
4 F 0.0000 0.0000 0.2575 x24